[1]
This entry pairs a crystal structure of Mg4GePd2 with its calculated powder diffractogram. Radiation: Cu Kα X-rays. Structure: a crystal structure in Alexandria, relaxed with PBE.
Lines closer than 0.1° are merged.

Structural model:
Cell lengths 6.6898, 8.8896, 4.3515 Å; angles 90.00, 90.00, 90.00 degrees
Space group Cmmm (No. 65)
Unique sites:
Mg 0.2157 0.0000 0.0000 [4 per cell]
Mg 0.2500 0.2500 0.5000 [4 per cell]
Ge 0.0000 0.5000 0.5000 [2 per cell]
Pd 0.0000 0.2721 0.0000 [4 per cell]

Most intense lines, 10 to 80 degrees two-theta, in order of rising 2θ:
two_theta, I (rel.)
16.58, 27.5
19.98, 18.1
20.41, 19.4
26.65, 18.5
28.71, 26.6
39.17, 21.4
39.57, 100.0
40.59, 20.9
41.50, 23.3
74.42, 14.7

---

[2]
This entry pairs a crystal structure of Pr3MgGe6Pd2 with its calculated powder diffractogram. Radiation: Cu Kα X-rays. Structure: a crystal structure in Alexandria, relaxed with PBE.
Lines closer than 0.1° are merged.

Structural model:
Cell lengths 6.0962, 6.0962, 8.3312 Å; angles 90.00, 90.00, 120.00 degrees
Space group P-3m1 (No. 164)
Unique sites:
Pr 0.0000 0.0000 0.0000 [1 per cell]
Pr 0.3333 0.6667 0.6267 [2 per cell]
Mg 0.0000 0.0000 0.5000 [1 per cell]
Ge 0.1921 0.3841 0.2784 [6 per cell]
Pd 0.3333 0.6667 0.0232 [2 per cell]

Most intense lines, 10 to 80 degrees two-theta, in order of rising 2θ:
two_theta, I (rel.)
27.27, 44.4
29.30, 92.3
32.23, 44.4
35.68, 95.1
36.54, 100.0
40.45, 62.5
44.12, 41.8
50.73, 26.8
56.79, 30.1
60.77, 37.0

---

What is the formula in the first record?
Mg4GePd2